For KCoPH2O5, a structure optimized by DFT (GGA+U) gives the simulated powder XRD pattern in this record (Cu Kα (weighted mean of Kα1 and Kα2)).
Lines closer than 0.1° are merged.

Atomic structure:
Lattice parameters (Å, degrees): 5.560 7.835 5.188 90.00 90.00 90.00
Fractional positions:
K  0.000  0.011  0.000
K  0.500  0.989  0.500
Co  0.000  0.439  0.209
Co  0.500  0.561  0.709
P  0.000  0.764  0.509
P  0.500  0.236  0.009
H  0.145  0.289  0.607
H  0.355  0.711  0.107
H  0.645  0.711  0.107
H  0.855  0.289  0.607
O  0.000  0.360  0.601
O  0.000  0.688  0.226
O  0.000  0.958  0.492
O  0.227  0.705  0.654
O  0.273  0.295  0.154
O  0.500  0.042  0.992
O  0.500  0.312  0.726
O  0.500  0.640  0.101
O  0.727  0.295  0.154
O  0.773  0.705  0.654

Main lines, by angle (2θ from 15° to 90°):
d_spacing, I/Imax, (hkl)
4.326, 75.3, 0 1 1
3.793, 67.5, 1 0 1
3.414, 85.9, 1 1 1
2.780, 89.9, 2 0 0
2.725, 100.0, 1 2 1
2.462, 87.4, 0 1 2